# 1
Theoretical X-ray diffraction stick pattern
Compound: Hf2AlGaCu2
Radiation: copper Kα
Structure: a crystal structure in OQMD, relaxed with PBE
Peak positions follow from Bragg's law for the DFT cell and can differ from measured ones.

Atomic structure:
```
data_Hf2AlGaCu2
_cell_length_a 10.3340
_cell_length_b 4.2183
_cell_length_c 10.3360
_cell_angle_alpha 90.00
_cell_angle_beta 109.47
_cell_angle_gamma 90.00
_symmetry_space_group_name_H-M 'P 1 m 1'
_symmetry_Int_Tables_number 6
_symmetry_space_group_name_Hall 'P -2y'
loop_
_atom_site_label
_atom_site_fract_x
_atom_site_fract_y
_atom_site_fract_z
Hf1 0.0000 0.0000 0.0000
Hf2 0.1242 0.5000 0.3720
Hf3 0.2478 0.0000 0.7504
Hf4 0.3730 0.5000 0.1249
Hf5 0.4988 0.0000 0.4965
Hf6 0.6254 0.5000 0.8754
Hf7 0.7493 0.0000 0.2491
Hf8 0.8737 0.5000 0.6240
Al1 0.9995 0.0000 0.4991
Al2 0.3740 0.5000 0.6244
Al3 0.4990 0.0000 0.9989
Al4 0.7485 0.0000 0.7489
Ga1 0.1238 0.5000 0.8741
Ga2 0.2490 0.0000 0.2492
Ga3 0.6243 0.5000 0.3738
Ga4 0.8741 0.5000 0.1243
Cu1 0.1237 0.5000 0.1233
Cu2 0.2490 0.0000 0.5006
Cu3 0.3755 0.5000 0.8748
Cu4 0.4991 0.0000 0.2467
Cu5 0.6234 0.5000 0.6250
Cu6 0.7489 0.0000 0.9986
Cu7 0.8756 0.5000 0.3752
Cu8 0.9971 0.0000 0.7484
```

The 9 most intense peaks (2θ = 10–80°), in order of rising 2θ:
hkl  Position (°2θ)  I (rel.)
1 1 1  25.9  60.0
2 0 2  30.0  37.1
4 1 0  42.9  100.0
5 0 1  50.7  29.1
2 2 2  53.2  10.3
4 0 4  62.2  16.2
5 2 1  68.6  11.8
6 1 2  70.6  13.7
8 0 0  78.5  32.7

---

# 2
Theoretical X-ray diffraction stick pattern
Compound: Li2AlZn2GaCu2
Radiation: copper Kα
Structure: a crystal structure in OQMD, relaxed with PBE
Peak positions follow from Bragg's law for the DFT cell and can differ from measured ones.

Atomic structure:
```
data_Li2AlZn2GaCu2
_cell_length_a 4.2354
_cell_length_b 4.2354
_cell_length_c 5.9631
_cell_angle_alpha 90.00
_cell_angle_beta 90.00
_cell_angle_gamma 90.00
_symmetry_space_group_name_H-M 'P -4 m 2'
_symmetry_Int_Tables_number 115
_symmetry_space_group_name_Hall 'P -4 -2'
loop_
_atom_site_label
_atom_site_fract_x
_atom_site_fract_y
_atom_site_fract_z
Li1 0.0000 0.5000 0.2449
Al1 0.5000 0.5000 0.5000
Zn1 0.0000 0.0000 0.5000
Zn2 0.5000 0.5000 0.0000
Ga1 0.0000 0.0000 0.0000
Cu1 0.0000 0.5000 0.7470
```

The 10 most intense peaks (2θ = 10–80°), in order of rising 2θ:
hkl  Position (°2θ)  I (rel.)
1 0 1  25.8  31.2
1 1 0  29.8  5.3
2 0 0  42.8  100.0
2 1 1  50.6  9.3
1 0 3  50.7  4.6
2 2 0  62.0  10.4
0 0 4  62.3  5.1
2 1 3  68.4  3.4
3 1 2  78.2  20.2
2 0 4  78.5  10.0

---

# 3
Theoretical X-ray diffraction stick pattern
Compound: Na2Sc2AlGaCu2
Radiation: copper Kα
Structure: a crystal structure in OQMD, relaxed with PBE
Peak positions follow from Bragg's law for the DFT cell and can differ from measured ones.

Atomic structure:
```
data_Na2Sc2AlGaCu2
_cell_length_a 4.5856
_cell_length_b 4.5856
_cell_length_c 6.4844
_cell_angle_alpha 90.00
_cell_angle_beta 90.00
_cell_angle_gamma 90.00
_symmetry_space_group_name_H-M 'P -4 m 2'
_symmetry_Int_Tables_number 115
_symmetry_space_group_name_Hall 'P -4 -2'
loop_
_atom_site_label
_atom_site_fract_x
_atom_site_fract_y
_atom_site_fract_z
Na1 0.0000 0.5000 0.2458
Sc1 0.0000 0.0000 0.5000
Sc2 0.5000 0.5000 0.0000
Al1 0.5000 0.5000 0.5000
Ga1 0.0000 0.0000 0.0000
Cu1 0.0000 0.5000 0.7457
```

The 10 most intense peaks (2θ = 10–80°), in order of rising 2θ:
hkl  Position (°2θ)  I (rel.)
0 0 1  13.7  2.8
1 0 0  19.4  2.9
1 0 1  23.8  14.3
1 1 1  30.8  2.2
2 0 0  39.3  100.0
2 1 1  46.4  7.1
2 2 0  56.8  15.8
3 0 1  62.4  2.8
3 1 2  71.2  30.3
3 2 1  76.3  2.0

---

# 4
Theoretical X-ray diffraction stick pattern
Compound: NdAl2GaCu2
Radiation: copper Kα
Structure: a crystal structure in OQMD, relaxed with PBE
Peak positions follow from Bragg's law for the DFT cell and can differ from measured ones.

Atomic structure:
```
data_NdAl2GaCu2
_cell_length_a 5.3813
_cell_length_b 9.4092
_cell_length_c 4.0966
_cell_angle_alpha 90.00
_cell_angle_beta 90.00
_cell_angle_gamma 90.00
_symmetry_space_group_name_H-M 'C m m m'
_symmetry_Int_Tables_number 65
_symmetry_space_group_name_Hall '-C 2 2'
loop_
_atom_site_label
_atom_site_fract_x
_atom_site_fract_y
_atom_site_fract_z
Nd1 0.0000 0.0000 0.0000
Al1 0.2500 0.2500 0.5000
Ga1 0.0000 0.5000 0.5000
Cu1 0.0000 0.3301 0.0000
```

The 10 most intense peaks (2θ = 10–80°), in order of rising 2θ:
hkl  Position (°2θ)  I (rel.)
0 0 1  21.7  22.6
1 1 1  29.0  44.8
1 3 0  33.1  29.0
2 0 0  33.3  29.7
2 2 0  38.5  17.0
1 3 1  39.9  100.0
2 0 1  40.1  26.9
0 0 2  44.2  24.5
2 0 2  56.5  18.1
3 3 1  64.0  23.6

---

# 5
Theoretical X-ray diffraction stick pattern
Compound: Pr3AlGaCu4
Radiation: copper Kα
Structure: a crystal structure in OQMD, relaxed with PBE
Peak positions follow from Bragg's law for the DFT cell and can differ from measured ones.

Atomic structure:
```
data_Pr3AlGaCu4
_cell_length_a 10.4757
_cell_length_b 4.2606
_cell_length_c 8.4682
_cell_angle_alpha 90.00
_cell_angle_beta 99.18
_cell_angle_gamma 90.00
_symmetry_space_group_name_H-M 'C 1 m 1'
_symmetry_Int_Tables_number 8
_symmetry_space_group_name_Hall 'C -2y'
loop_
_atom_site_label
_atom_site_fract_x
_atom_site_fract_y
_atom_site_fract_z
Pr1 0.0000 0.0000 0.0000
Pr2 0.1241 0.5000 0.3751
Pr3 0.2510 0.0000 0.7532
Al1 0.4449 0.5000 0.5960
Ga1 0.3046 0.0000 0.1493
Cu1 0.0425 0.5000 0.7334
Cu2 0.2061 0.5000 0.0148
Cu3 0.3563 0.0000 0.4506
Cu4 0.3915 0.5000 0.2982
```

The 10 most intense peaks (2θ = 10–80°), in order of rising 2θ:
hkl  Position (°2θ)  I (rel.)
1 1 1  25.6  100.0
1 1 -2  30.2  57.1
0 0 3  32.1  43.0
3 1 0  33.4  96.2
2 0 -3  34.0  41.1
4 0 -1  34.6  41.7
3 1 -2  37.6  76.2
4 0 1  38.0  38.0
1 1 3  40.8  63.1
0 2 0  42.4  66.1

---

# 6
Theoretical X-ray diffraction stick pattern
Compound: SrAl2GaCu2
Radiation: copper Kα
Structure: a crystal structure in OQMD, relaxed with PBE
Peak positions follow from Bragg's law for the DFT cell and can differ from measured ones.

Atomic structure:
```
data_SrAl2GaCu2
_cell_length_a 10.4931
_cell_length_b 8.1919
_cell_length_c 5.1766
_cell_angle_alpha 90.00
_cell_angle_beta 90.00
_cell_angle_gamma 90.00
_symmetry_space_group_name_H-M 'C m c m'
_symmetry_Int_Tables_number 63
_symmetry_space_group_name_Hall '-C 2c 2'
loop_
_atom_site_label
_atom_site_fract_x
_atom_site_fract_y
_atom_site_fract_z
Sr1 0.0000 0.1640 0.2500
Al1 0.1957 0.2271 0.7500
Ga1 0.0000 0.4262 0.7500
Cu1 0.2063 0.5000 0.0000
```

The 10 most intense peaks (2θ = 10–80°), in order of rising 2θ:
hkl  Position (°2θ)  I (rel.)
1 1 0  13.7  40.7
0 2 1  27.8  52.0
2 2 1  32.7  100.0
1 3 0  33.9  32.5
4 0 0  34.2  41.3
2 0 2  38.8  59.1
0 2 2  41.3  30.6
5 1 0  44.6  40.1
2 2 2  44.9  57.2
2 4 0  47.7  28.4

---

# 7
Theoretical X-ray diffraction stick pattern
Compound: AlGaCuTe4
Radiation: copper Kα
Structure: a crystal structure in OQMD, relaxed with PBE
Peak positions follow from Bragg's law for the DFT cell and can differ from measured ones.

Atomic structure:
```
data_AlGaCuTe4
_cell_length_a 8.2367
_cell_length_b 8.2367
_cell_length_c 11.4434
_cell_angle_alpha 90.00
_cell_angle_beta 90.00
_cell_angle_gamma 90.00
_symmetry_space_group_name_H-M 'P 41 2 2'
_symmetry_Int_Tables_number 91
_symmetry_space_group_name_Hall 'P 4w 2c'
loop_
_atom_site_label
_atom_site_fract_x
_atom_site_fract_y
_atom_site_fract_z
Al1 0.2432 0.2432 0.3750
Ga1 0.0000 0.2839 0.0000
Cu1 0.2410 0.5000 0.7500
Te1 0.0260 0.2505 0.7553
Te2 0.2649 0.4960 0.9856
```

The 10 most intense peaks (2θ = 10–80°), in order of rising 2θ:
hkl  Position (°2θ)  I (rel.)
1 0 1  13.2  33.6
2 1 1  25.4  13.3
2 0 2  26.7  98.1
2 2 0  30.7  100.0
0 0 4  31.3  48.7
3 2 1  40.3  15.2
4 0 0  44.0  40.7
2 2 4  44.4  80.7
4 2 2  52.2  27.1
4 0 4  54.9  32.8

---

# 8
Theoretical X-ray diffraction stick pattern
Compound: AlGaCuTe4
Radiation: copper Kα
Structure: a crystal structure in OQMD, relaxed with PBE
Peak positions follow from Bragg's law for the DFT cell and can differ from measured ones.

Atomic structure:
```
data_AlGaCuTe4
_cell_length_a 8.1148
_cell_length_b 8.1148
_cell_length_c 11.4953
_cell_angle_alpha 90.00
_cell_angle_beta 90.00
_cell_angle_gamma 90.00
_symmetry_space_group_name_H-M 'P 41 2 2'
_symmetry_Int_Tables_number 91
_symmetry_space_group_name_Hall 'P 4w 2c'
loop_
_atom_site_label
_atom_site_fract_x
_atom_site_fract_y
_atom_site_fract_z
Al1 0.0000 0.2454 0.0000
Ga1 0.2445 0.5000 0.7500
Cu1 0.2546 0.2546 0.3750
Te1 0.0039 0.2464 0.7560
Te2 0.2465 0.4863 0.9968
```

The 10 most intense peaks (2θ = 10–80°), in order of rising 2θ:
hkl  Position (°2θ)  I (rel.)
2 1 1  25.7  17.9
2 0 2  26.9  94.6
0 0 4  31.2  86.3
1 0 5  40.8  13.3
2 2 4  44.6  100.0
2 0 6  52.9  41.6
4 0 4  55.4  21.6
4 4 0  65.0  10.3
4 2 6  71.6  16.0
2 2 8  73.8  17.8

---

# 9
Theoretical X-ray diffraction stick pattern
Compound: Zr2AlGaCu2
Radiation: copper Kα
Structure: a crystal structure in OQMD, relaxed with PBE
Peak positions follow from Bragg's law for the DFT cell and can differ from measured ones.

Atomic structure:
```
data_Zr2AlGaCu2
_cell_length_a 10.4191
_cell_length_b 4.2535
_cell_length_c 10.4212
_cell_angle_alpha 90.00
_cell_angle_beta 109.47
_cell_angle_gamma 90.00
_symmetry_space_group_name_H-M 'P 1 m 1'
_symmetry_Int_Tables_number 6
_symmetry_space_group_name_Hall 'P -2y'
loop_
_atom_site_label
_atom_site_fract_x
_atom_site_fract_y
_atom_site_fract_z
Zr1 0.0000 0.0000 0.0000
Zr2 0.1242 0.5000 0.3720
Zr3 0.2478 0.0000 0.7504
Zr4 0.3730 0.5000 0.1249
Zr5 0.4987 0.0000 0.4965
Zr6 0.6253 0.5000 0.8753
Zr7 0.7493 0.0000 0.2491
Zr8 0.8737 0.5000 0.6239
Al1 0.3740 0.5000 0.6244
Al2 0.4990 0.0000 0.9988
Al3 0.7484 0.0000 0.7489
Al4 0.9995 0.0000 0.4990
Ga1 0.1238 0.5000 0.8740
Ga2 0.2490 0.0000 0.2492
Ga3 0.6243 0.5000 0.3738
Ga4 0.8740 0.5000 0.1242
Cu1 0.1236 0.5000 0.1232
Cu2 0.2490 0.0000 0.5005
Cu3 0.3754 0.5000 0.8748
Cu4 0.4991 0.0000 0.2467
Cu5 0.6233 0.5000 0.6248
Cu6 0.7490 0.0000 0.9986
Cu7 0.8755 0.5000 0.3751
Cu8 0.9971 0.0000 0.7484
```

The 10 most intense peaks (2θ = 10–80°), in order of rising 2θ:
hkl  Position (°2θ)  I (rel.)
1 0 -1  10.4  0.7
1 1 1  25.6  38.9
2 0 2  29.7  16.5
4 1 0  42.5  100.0
5 0 1  50.3  17.4
2 2 2  52.7  4.3
4 0 4  61.7  15.8
5 2 1  67.9  6.6
6 1 2  69.9  5.6
8 0 0  77.8  31.0

---

# 10
Theoretical X-ray diffraction stick pattern
Compound: Gd2ScAl3CuGe2
Radiation: copper Kα
Structure: a crystal structure in OQMD, relaxed with PBE
Peak positions follow from Bragg's law for the DFT cell and can differ from measured ones.

Atomic structure:
```
data_Gd2ScAl3CuGe2
_cell_length_a 4.1414
_cell_length_b 11.9869
_cell_length_c 6.9896
_cell_angle_alpha 90.00
_cell_angle_beta 90.00
_cell_angle_gamma 90.00
_symmetry_space_group_name_H-M 'A m m 2'
_symmetry_Int_Tables_number 38
_symmetry_space_group_name_Hall 'A 2 -2'
loop_
_atom_site_label
_atom_site_fract_x
_atom_site_fract_y
_atom_site_fract_z
Gd1 0.0000 0.2018 0.0000
Sc1 0.0000 0.0000 0.6051
Al1 0.5000 0.0000 0.9717
Al2 0.5000 0.1157 0.3225
Cu1 0.0000 0.0000 0.2171
Ge1 0.5000 0.1590 0.6999
```

The 10 most intense peaks (2θ = 10–80°), in order of rising 2θ:
hkl  Position (°2θ)  I (rel.)
0 2 0  14.8  38.1
0 3 1  25.7  42.3
1 1 1  26.1  31.5
0 2 2  29.6  30.4
1 0 2  33.6  59.4
1 3 1  33.7  100.0
1 2 2  36.8  96.9
1 4 0  37.0  36.4
2 0 0  43.7  40.3
0 3 3  45.0  33.2

---

# 11
Theoretical X-ray diffraction stick pattern
Compound: LaGd2Al7Cu2
Radiation: copper Kα
Structure: a crystal structure in OQMD, relaxed with PBE
Peak positions follow from Bragg's law for the DFT cell and can differ from measured ones.

Atomic structure:
```
data_LaGd2Al7Cu2
_cell_length_a 5.5531
_cell_length_b 5.5531
_cell_length_c 25.7670
_cell_angle_alpha 90.00
_cell_angle_beta 90.00
_cell_angle_gamma 120.00
_symmetry_space_group_name_H-M 'R -3 m'
_symmetry_Int_Tables_number 166
_symmetry_space_group_name_Hall '-R 3 2"'
loop_
_atom_site_label
_atom_site_fract_x
_atom_site_fract_y
_atom_site_fract_z
La1 0.0000 0.0000 0.0000
Gd1 0.0000 0.0000 0.1418
Al1 0.0000 0.0000 0.5000
Al2 0.0065 0.5033 0.9207
Cu1 0.0000 0.0000 0.3354
```

The 10 most intense peaks (2θ = 10–80°), in order of rising 2θ:
hkl  Position (°2θ)  I (rel.)
1 0 1  18.8  35.9
0 0 6  20.7  29.0
1 0 7  30.6  48.7
1 1 0  32.2  87.8
0 1 8  33.5  31.5
0 2 1  37.6  26.2
1 1 6  38.6  100.0
3 0 6  61.8  24.5
2 0 14  63.7  27.0
2 2 0  67.5  19.4

---

# 12
Theoretical X-ray diffraction stick pattern
Compound: La2GdAl7Cu2
Radiation: copper Kα
Structure: a crystal structure in OQMD, relaxed with PBE
Peak positions follow from Bragg's law for the DFT cell and can differ from measured ones.

Atomic structure:
```
data_La2GdAl7Cu2
_cell_length_a 5.5895
_cell_length_b 5.5895
_cell_length_c 25.9804
_cell_angle_alpha 90.00
_cell_angle_beta 90.00
_cell_angle_gamma 120.00
_symmetry_space_group_name_H-M 'R -3 m'
_symmetry_Int_Tables_number 166
_symmetry_space_group_name_Hall '-R 3 2"'
loop_
_atom_site_label
_atom_site_fract_x
_atom_site_fract_y
_atom_site_fract_z
La1 0.0000 0.0000 0.1423
Gd1 0.0000 0.0000 0.0000
Al1 0.0000 0.0000 0.5000
Al2 0.0051 0.5025 0.9241
Cu1 0.0000 0.0000 0.3355
```

The 10 most intense peaks (2θ = 10–80°), in order of rising 2θ:
hkl  Position (°2θ)  I (rel.)
1 0 1  18.6  33.4
0 0 6  20.5  30.0
1 0 7  30.3  45.1
1 1 0  32.0  82.4
0 1 8  33.2  30.9
0 2 1  37.3  25.8
1 1 6  38.3  100.0
3 0 6  61.3  24.6
2 0 14  63.1  25.6
2 2 0  67.0  18.5